(1)
Structure and theoretical PXRD pattern of Dy3Zn2 (a structure optimized by DFT (GGA-PBE); Cu Kα, 1.54184 Å).
Neutral-atom scattering factors, no anomalous dispersion.

Structural model:
```
Dy3Zn2
1.0
3.563 0.000 0.000
0.000 3.563 0.000
0.000 0.000 19.315
Dy Zn
6 4
Direct
0.000 0.000 0.000 Dy
0.000 0.000 0.184 Dy
0.000 0.000 0.369 Dy
0.000 0.000 0.631 Dy
0.000 0.000 0.816 Dy
0.500 0.500 0.500 Dy
0.500 0.500 0.093 Zn
0.500 0.500 0.277 Zn
0.500 0.500 0.723 Zn
0.500 0.500 0.907 Zn
```

Peak list (8 most intense, 2θ from 5° to 70°, low angle first)
2theta	I_rel
24.99	13
31.20	16
34.24	100
35.63	67
37.66	21
51.28	23
63.11	34
64.71	12



(2)
Structure and theoretical PXRD pattern of SmSiPb (a structure optimized by DFT (GGA-PBE); Cu Kα, 1.54184 Å).
Neutral-atom scattering factors, no anomalous dispersion.

Structural model:
```
SmSiPb
1.0
2.136 -9.368 0.000
2.136 9.368 0.000
0.000 0.000 3.833
Sm Si Pb
2 2 2
Direct
0.087 0.913 0.750 Sm
0.913 0.087 0.250 Sm
0.462 0.538 0.750 Si
0.538 0.462 0.250 Si
0.301 0.699 0.750 Pb
0.699 0.301 0.250 Pb
```

Peak list (8 most intense, 2θ from 5° to 70°, low angle first)
2theta	I_rel
9.44	11
30.13	35
31.74	100
37.14	14
42.32	12
52.82	15
54.56	20
58.23	17